Calculated X-ray powder pattern of Dy2Sc2CBr4Cl for a wavelength of 1.5418 Å, from a GGA-PBE-relaxed structure.

Atomic structure:
Cell lengths 9.1359, 9.1359, 7.8181 Å; angles 102.06, 102.06, 23.28 degrees
Fractional coordinates of all 10 atoms:
Dy (0.0006, 0.0006, 0.2895)
Dy (0.9994, 0.9994, 0.7105)
Sc (0.3720, 0.3720, 0.4346)
Sc (0.6280, 0.6280, 0.5654)
C (0.5000, 0.5000, 0.5000)
Br (0.1635, 0.1635, 0.8270)
Br (0.1667, 0.1667, 0.3384)
Br (0.8333, 0.8333, 0.6616)
Br (0.8365, 0.8365, 0.1730)
Cl (0.5000, 0.5000, 0.0000)

The 10 most intense peaks (15 to 90 degrees two-theta), in order of rising 2θ:
Position (°2θ)	intensity
23.32	505
24.68	547
30.68	560
33.41	1000
34.51	191
35.38	354
45.90	317
46.08	319
49.44	177
59.32	165